The following is a calculated PXRD pattern of Cs2HoCoS4. It was derived from a crystal structure in Alexandria, relaxed with GGA-PBE, using Cu Kα, 1.54184 Å.

Cell: 14.9386 13.3639 7.9156 Å, 85.10 63.04 31.87°
Positions (direct):
Cs 0.0527 0.0527 0.6973
Cs 0.3027 0.3027 0.9473
Cs 0.6973 0.6973 0.0527
Cs 0.9473 0.9473 0.3027
Ho 0.1250 0.1250 0.1250
Ho 0.8750 0.8750 0.8750
Co 0.3750 0.3750 0.3750
Co 0.6250 0.6250 0.6250
S 0.0229 0.6279 0.5405
S 0.3087 0.5405 0.6279
S 0.3721 0.9771 0.6913
S 0.4595 0.6913 0.9771
S 0.5405 0.3087 0.0229
S 0.6279 0.0229 0.3087
S 0.6913 0.4595 0.3721
S 0.9771 0.3721 0.4595

Principal peaks in the range 10 to 90 degrees two-theta, in order of falling intensity:
2θ 23.8, rel. 1000
2θ 29.1, rel. 552
2θ 32.2, rel. 448
2θ 36.3, rel. 409
2θ 13.6, rel. 401
2θ 44.2, rel. 368
2θ 24.3, rel. 357
2θ 23.7, rel. 343
2θ 16.3, rel. 307
2θ 25.6, rel. 278